No. 1
Starting from a cell relaxed with PBE, the powder XRD pattern of PmSc3Cd was computed for λ = 1.5418 Å (Cu Kα).

Lattice parameters (Å, degrees): 7.455 7.455 5.753 90.00 90.00 120.00
Fractional positions:
Pm (0.333, 0.667, 0.250)
Pm (0.667, 0.333, 0.750)
Sc (0.196, 0.392, 0.750)
Sc (0.196, 0.804, 0.750)
Sc (0.392, 0.196, 0.250)
Sc (0.608, 0.804, 0.750)
Sc (0.804, 0.196, 0.250)
Sc (0.804, 0.608, 0.250)
Cd (0.000, 0.000, 0.000)
Cd (0.000, 0.000, 0.500)

Principal peaks in the range 10 to 80 degrees two-theta, in order of rising 2θ:
| 2θ/deg | d/Å | I_rel |
| --- | --- | --- |
| 20.68 | 4.295 | 25 |
| 23.87 | 3.728 | 100 |
| 31.79 | 2.815 | 95 |
| 34.12 | 2.627 | 57 |
| 40.14 | 2.247 | 29 |
| 42.05 | 2.149 | 69 |
| 48.89 | 1.863 | 48 |
| 60.95 | 1.520 | 24 |
| 66.38 | 1.408 | 22 |
| 71.67 | 1.317 | 19 |

No. 2
Starting from a cell relaxed with PBE, the powder XRD pattern of Pm6ScCd5 was computed for λ = 1.5418 Å (Cu Kα).

Lattice parameters (Å, degrees): 9.405 9.405 9.405 146.73 131.35 60.22
Fractional positions:
Pm (0.079, 0.331, 0.748)
Pm (0.242, 0.000, 0.242)
Pm (0.416, 0.669, 0.748)
Pm (0.584, 0.331, 0.252)
Pm (0.758, 0.000, 0.758)
Pm (0.921, 0.669, 0.252)
Sc (0.500, 0.500, 0.000)
Cd (0.000, 0.500, 0.500)
Cd (0.166, 0.166, 0.000)
Cd (0.343, 0.843, 0.500)
Cd (0.657, 0.157, 0.500)
Cd (0.834, 0.834, 0.000)

Principal peaks in the range 10 to 80 degrees two-theta, in order of rising 2θ:
| 2θ/deg | d/Å | I_rel |
| --- | --- | --- |
| 32.92 | 2.721 | 100 |
| 33.03 | 2.712 | 24 |
| 33.28 | 2.692 | 24 |
| 46.90 | 1.937 | 9 |
| 47.59 | 1.911 | 17 |
| 58.72 | 1.572 | 9 |
| 58.92 | 1.567 | 18 |
| 59.24 | 1.560 | 18 |
| 69.05 | 1.360 | 11 |
| 79.13 | 1.210 | 11 |